# 1
Diffraction record for Ba7Hg31. The X-ray powder pattern is calculated, not measured: it uses a structure optimized by DFT (PBE) and Cu Kα.
Kinematic intensities with the Lorentz-polarization factor, no thermal factor.

Cell and atoms:
```
data_Ba7Hg31
_cell_length_a 11.4471
_cell_length_b 11.4471
_cell_length_c 10.1696
_cell_angle_alpha 90.00
_cell_angle_beta 90.00
_cell_angle_gamma 120.00
_symmetry_space_group_name_H-M 'P -6 m 2'
_symmetry_Int_Tables_number 187
_symmetry_space_group_name_Hall 'P -6 2'
loop_
_atom_site_label
_atom_site_fract_x
_atom_site_fract_y
_atom_site_fract_z
Ba1 0.0000 0.0000 0.0000
Ba2 0.1687 0.3374 0.5000
Ba3 0.3333 0.6667 0.0000
Ba4 0.6667 0.3333 0.2146
Hg1 0.0000 0.0000 0.3522
Hg2 0.0340 0.5170 0.2845
Hg3 0.1675 0.3349 0.1622
Hg4 0.2872 0.1436 0.2681
Hg5 0.3333 0.6667 0.3506
Hg6 0.3997 0.0661 0.0000
Hg7 0.4693 0.2347 0.5000
```

Main lines, in order of falling intensity (10° ≤ 2θ ≤ 90°):
d (Å), intensity
2.798, 100
2.862, 97
3.016, 69
2.494, 54
1.640, 45
2.408, 26
2.366, 23
1.372, 20

***

# 2
Diffraction record for BaHg. The X-ray powder pattern is calculated, not measured: it uses a structure optimized by DFT (PBE) and Cu Kα.
Kinematic intensities with the Lorentz-polarization factor, no thermal factor.

Cell and atoms:
```
data_BaHg
_cell_length_a 4.222
_cell_length_b 4.222
_cell_length_c 4.222
_cell_angle_alpha 90.00
_cell_angle_beta 90.00
_cell_angle_gamma 90.00
_symmetry_space_group_name_H-M 'P m -3 m'
_symmetry_Int_Tables_number 221
_symmetry_space_group_name_Hall '-P 4 2 3'
loop_
_atom_site_label
_atom_site_fract_x
_atom_site_fract_y
_atom_site_fract_z
Ba1 0.000 0.000 0.000
Hg1 0.500 0.500 0.500
```

Main lines, in order of falling intensity (10° ≤ 2θ ≤ 90°):
d (Å), intensity
2.985, 100
1.723, 41
1.128, 22
2.111, 19
1.335, 18
1.493, 13
4.222, 5
1.219, 4

***

# 3
Diffraction record for BaHg11. The X-ray powder pattern is calculated, not measured: it uses a structure optimized by DFT (PBE) and Cu Kα.
Kinematic intensities with the Lorentz-polarization factor, no thermal factor.

Cell and atoms:
```
data_BaHg11
_cell_length_a 10.158
_cell_length_b 10.158
_cell_length_c 10.158
_cell_angle_alpha 90.00
_cell_angle_beta 90.00
_cell_angle_gamma 90.00
_symmetry_space_group_name_H-M 'P m -3 m'
_symmetry_Int_Tables_number 221
_symmetry_space_group_name_Hall '-P 4 2 3'
loop_
_atom_site_label
_atom_site_fract_x
_atom_site_fract_y
_atom_site_fract_z
Ba1 0.000 0.000 0.500
Hg1 0.000 0.344 0.344
Hg2 0.153 0.153 0.153
Hg3 0.266 0.266 0.500
Hg4 0.500 0.500 0.500
```

Main lines, in order of falling intensity (10° ≤ 2θ ≤ 90°):
d (Å), intensity
2.464, 100
2.394, 65
2.932, 57
3.063, 54
2.217, 40
1.586, 35
1.382, 33
2.817, 31

***

# 4
Diffraction record for Ba2InHg. The X-ray powder pattern is calculated, not measured: it uses a structure optimized by DFT (PBE) and Cu Kα.
Kinematic intensities with the Lorentz-polarization factor, no thermal factor.

Cell and atoms:
```
data_Ba2InHg
_cell_length_a 8.526
_cell_length_b 8.526
_cell_length_c 8.526
_cell_angle_alpha 90.00
_cell_angle_beta 90.00
_cell_angle_gamma 90.00
_symmetry_space_group_name_H-M 'F m -3 m'
_symmetry_Int_Tables_number 225
_symmetry_space_group_name_Hall '-F 4 2 3'
loop_
_atom_site_label
_atom_site_fract_x
_atom_site_fract_y
_atom_site_fract_z
Ba1 0.250 0.250 0.250
In1 0.000 0.000 0.000
Hg1 0.000 0.000 0.500
```

Main lines, in order of falling intensity (10° ≤ 2θ ≤ 90°):
d (Å), intensity
3.014, 100
1.740, 40
1.139, 21
2.131, 19
1.348, 17
1.507, 12
1.231, 4
4.922, 4

***

# 5
Diffraction record for BaHgO2. The X-ray powder pattern is calculated, not measured: it uses a structure optimized by DFT (PBE) and Cu Kα.
Kinematic intensities with the Lorentz-polarization factor, no thermal factor.

Cell and atoms:
```
data_BaHgO2
_cell_length_a 4.2024
_cell_length_b 4.2024
_cell_length_c 19.6525
_cell_angle_alpha 90.00
_cell_angle_beta 90.00
_cell_angle_gamma 120.00
_symmetry_space_group_name_H-M 'R -3 m'
_symmetry_Int_Tables_number 166
_symmetry_space_group_name_Hall '-R 3 2"'
loop_
_atom_site_label
_atom_site_fract_x
_atom_site_fract_y
_atom_site_fract_z
Ba1 0.0000 0.0000 0.0000
Hg1 0.0000 0.0000 0.5000
O1 0.0000 0.0000 0.3982
```

Main lines, in order of falling intensity (10° ≤ 2θ ≤ 90°):
d (Å), intensity
3.413, 100
2.924, 53
2.101, 30
1.769, 26
2.036, 24
3.275, 24
1.729, 16
1.789, 16

***

# 6
Diffraction record for BaHgO2. The X-ray powder pattern is calculated, not measured: it uses a structure optimized by DFT (PBE) and Cu Kα.
Kinematic intensities with the Lorentz-polarization factor, no thermal factor.

Cell and atoms:
```
data_BaHgO2
_cell_length_a 6.9817
_cell_length_b 6.9817
_cell_length_c 12.6798
_cell_angle_alpha 90.00
_cell_angle_beta 90.00
_cell_angle_gamma 120.00
_symmetry_space_group_name_H-M 'P 63 2 2'
_symmetry_Int_Tables_number 182
_symmetry_space_group_name_Hall 'P 6c 2c'
loop_
_atom_site_label
_atom_site_fract_x
_atom_site_fract_y
_atom_site_fract_z
Ba1 0.0000 0.0000 0.0000
Ba2 0.3333 0.6667 0.0325
Hg1 0.1748 0.3497 0.7500
O1 0.0373 0.3499 0.6098
```

Main lines, in order of falling intensity (10° ≤ 2θ ≤ 90°):
d (Å), intensity
3.058, 100
2.941, 95
1.943, 44
3.464, 43
3.170, 39
1.529, 35
5.458, 30
1.921, 30

***

# 7
Diffraction record for Ba2Hg3Pd7O14. The X-ray powder pattern is calculated, not measured: it uses a structure optimized by DFT (PBE) and Cu Kα.
Kinematic intensities with the Lorentz-polarization factor, no thermal factor.

Cell and atoms:
```
data_Ba2Hg3Pd7O14
_cell_length_a 10.823
_cell_length_b 6.363
_cell_length_c 11.117
_cell_angle_alpha 90.00
_cell_angle_beta 90.39
_cell_angle_gamma 90.00
_symmetry_space_group_name_H-M 'C 1 2/m 1'
_symmetry_Int_Tables_number 12
loop_
_symmetry_equiv_pos_as_xyz
'x,y,z'
'-x,-y,-z'
'-x,y,-z'
'x,-y,z'
'x+1/2,y+1/2,z'
'-x+1/2,-y+1/2,-z'
'-x+1/2,y+1/2,-z'
'x+1/2,-y+1/2,z'
loop_
_atom_site_label
_atom_site_fract_x
_atom_site_fract_y
_atom_site_fract_z
Ba1 0.003 0.000 0.295
Hg1 0.000 0.500 0.500
Hg2 0.175 0.500 0.195
Pd1 0.000 0.500 0.000
Pd2 0.167 0.500 0.778
Pd3 0.250 0.250 0.000
Pd4 0.250 0.250 0.500
O1 0.006 0.500 0.687
O2 0.093 0.284 0.898
O3 0.136 0.000 0.503
O4 0.189 0.000 0.101
O5 0.244 0.264 0.684
```

Main lines, in order of falling intensity (10° ≤ 2θ ≤ 90°):
d (Å), intensity
2.741, 100
2.726, 76
2.761, 44
5.485, 42
2.463, 42
3.071, 39
1.569, 37
2.779, 36